Record 1
MgMn3CoO8: simulated powder XRD pattern (Cu Kα), based on a cell relaxed with GGA+U.
Neutral-atom scattering factors, no anomalous dispersion.

abc: 5.8195 5.8195 5.8027
angles: 117.50 117.50 60.46
Element x y z (fractional)
1 Mg 0.0000 0.0000 0.0000
2 Mn 0.1228 0.6128 0.3751
3 Mn 0.6128 0.1228 0.3751
4 Mn 0.6152 0.6152 0.8676
5 Co 0.6145 0.6145 0.3746
6 O 0.3548 0.3548 0.5750
7 O 0.3712 0.8124 0.5974
8 O 0.3882 0.3882 0.1730
9 O 0.4110 0.8588 0.1400
10 O 0.8124 0.3712 0.5974
11 O 0.8490 0.8490 0.5849
12 O 0.8588 0.4110 0.1400
13 O 0.8712 0.8712 0.1582

Largest 6 diffraction maxima, sorted by position, 2θ from 5° to 70°:
18.09 deg, intensity 668
18.39 deg, intensity 1000
18.96 deg, intensity 420
35.69 deg, intensity 394
42.54 deg, intensity 411
43.95 deg, intensity 761

Record 2
NpFeO3F6: simulated powder XRD pattern (Cu Kα), based on a cell relaxed with GGA+U.
Neutral-atom scattering factors, no anomalous dispersion.

abc: 6.6760 6.6760 8.9702
angles: 100.17 100.17 63.25
Element x y z (fractional)
1 Np 0.1119 0.8881 0.7500
2 Np 0.8881 0.1119 0.2500
3 Fe 0.0000 0.5000 0.0000
4 Fe 0.5000 0.0000 0.5000
5 O 0.2789 0.3654 0.0036
6 O 0.3654 0.2789 0.5036
7 O 0.3697 0.6303 0.7500
8 O 0.6303 0.3697 0.2500
9 O 0.6346 0.7211 0.4964
10 O 0.7211 0.6346 0.9964
11 F 0.0149 0.3204 0.1715
12 F 0.0316 0.7595 0.1797
13 F 0.0794 0.7803 0.5234
14 F 0.2197 0.9206 0.9766
15 F 0.2405 0.9684 0.3203
16 F 0.3204 0.0149 0.6715
17 F 0.6796 0.9851 0.3285
18 F 0.7595 0.0316 0.6797
19 F 0.7803 0.0794 0.0234
20 F 0.9206 0.2197 0.4766
21 F 0.9684 0.2405 0.8203
22 F 0.9851 0.6796 0.8285

Largest 6 diffraction maxima, sorted by position, 2θ from 5° to 70°:
14.95 deg, intensity 1000
15.94 deg, intensity 336
18.98 deg, intensity 796
23.07 deg, intensity 436
27.24 deg, intensity 474
27.43 deg, intensity 264

Record 3
SrEuFeWO6: simulated powder XRD pattern (Cu Kα), based on a cell relaxed with GGA+U.
Neutral-atom scattering factors, no anomalous dispersion.

abc: 5.6452 5.6452 5.6452
angles: 60.00 60.00 60.00
Element x y z (fractional)
1 Sr 0.0000 0.0000 0.0000
2 Eu 0.5000 0.5000 0.5000
3 Fe 0.7500 0.7500 0.7500
4 W 0.2500 0.2500 0.2500
5 O 0.0028 0.0028 0.4972
6 O 0.0028 0.4972 0.0028
7 O 0.0028 0.4972 0.4972
8 O 0.4972 0.0028 0.0028
9 O 0.4972 0.0028 0.4972
10 O 0.4972 0.4972 0.0028

Largest 6 diffraction maxima, sorted by position, 2θ from 5° to 70°:
19.26 deg, intensity 211
31.70 deg, intensity 1000
37.36 deg, intensity 122
45.44 deg, intensity 301
56.47 deg, intensity 395
66.22 deg, intensity 183

Record 4
Li9Mn2Co5O16: simulated powder XRD pattern (Cu Kα), based on a cell relaxed with GGA+U.
Neutral-atom scattering factors, no anomalous dispersion.

abc: 5.8991 6.4967 7.7728
angles: 89.02 81.17 77.04
Element x y z (fractional)
1 Li 0.0000 0.0000 0.0000
2 Li 0.0052 0.4877 0.4910
3 Li 0.1227 0.3671 0.1254
4 Li 0.2276 0.2455 0.7679
5 Li 0.2480 0.7314 0.2391
6 Li 0.4901 0.9967 0.0051
7 Li 0.5002 0.4875 0.4979
8 Li 0.7454 0.2455 0.7515
9 Li 0.7707 0.7326 0.2342
10 Mn 0.1198 0.8663 0.6252
11 Mn 0.8810 0.1143 0.3673
12 Co 0.3713 0.6072 0.8812
13 Co 0.3749 0.1175 0.3698
14 Co 0.6221 0.8661 0.6229
15 Co 0.6269 0.3666 0.1239
16 Co 0.8775 0.6103 0.8844
17 O 0.0489 0.1609 0.5565
18 O 0.0610 0.6810 0.0451
19 O 0.1756 0.0610 0.2123
20 O 0.1782 0.5718 0.6872
21 O 0.2964 0.9207 0.8020
22 O 0.3330 0.4020 0.3065
23 O 0.4146 0.8270 0.4592
24 O 0.4417 0.3171 0.9323
25 O 0.5648 0.6757 0.0587
26 O 0.5832 0.1517 0.5368
27 O 0.6753 0.5817 0.6953
28 O 0.7036 0.0555 0.1937
29 O 0.8092 0.4067 0.3135
30 O 0.8235 0.9166 0.7836
31 O 0.9151 0.3152 0.9393
32 O 0.9481 0.8168 0.4395

Largest 6 diffraction maxima, sorted by position, 2θ from 5° to 70°:
18.32 deg, intensity 1000
35.25 deg, intensity 152
36.34 deg, intensity 129
42.39 deg, intensity 295
44.04 deg, intensity 262
44.31 deg, intensity 259

Record 5
Sr4MgMn2Ga2O11: simulated powder XRD pattern (Cu Kα), based on a cell relaxed with GGA+U.
Neutral-atom scattering factors, no anomalous dispersion.

abc: 5.6145 5.6261 9.1608
angles: 72.56 73.44 88.62
Element x y z (fractional)
1 Sr 0.1203 0.1183 0.2586
2 Sr 0.3265 0.3322 0.8225
3 Sr 0.6735 0.6678 0.1775
4 Sr 0.8797 0.8817 0.7414
5 Mg 0.5000 0.5000 0.5000
6 Mn 0.0000 0.5000 0.5000
7 Mn 0.5000 0.0000 0.5000
8 Ga 0.2416 0.7595 0.0002
9 Ga 0.7584 0.2405 0.9998
10 O 0.0000 0.0000 0.0000
11 O 0.0000 0.5000 0.0000
12 O 0.1953 0.5869 0.2282
13 O 0.2333 0.2447 0.5560
14 O 0.2528 0.7585 0.4991
15 O 0.4107 0.8033 0.7751
16 O 0.5000 0.0000 0.0000
17 O 0.5893 0.1967 0.2249
18 O 0.7472 0.2415 0.5009
19 O 0.7667 0.7553 0.4440
20 O 0.8047 0.4131 0.7718

Largest 6 diffraction maxima, sorted by position, 2θ from 5° to 70°:
31.08 deg, intensity 389
31.37 deg, intensity 441
31.43 deg, intensity 390
31.86 deg, intensity 1000
45.11 deg, intensity 379
46.25 deg, intensity 315

What is the formula in the fifth record? Sr4MgMn2Ga2O11

What is the formula in the second record? NpFeO3F6

Which formula does entry 5 have? Sr4MgMn2Ga2O11